# 1
Cs2Cu2AuI6: simulated X-ray diffraction stick pattern (Cu Ka), based on the PBE geometry in Alexandria.

Largest 12 diffraction maxima, low angle first, 10° ≤ 2θ ≤ 80°:
d = 7.574 Å, 2θ = 11.68°, I = 36, (2 0 0)
d = 3.817 Å, 2θ = 23.30°, I = 81, (4 0 -1)
d = 3.785 Å, 2θ = 23.50°, I = 100, (0 0 2)
d = 3.516 Å, 2θ = 25.33°, I = 84, (2 2 0)
d = 3.047 Å, 2θ = 29.31°, I = 79, (2 2 1)
d = 2.750 Å, 2θ = 32.56°, I = 70, (2 2 -2)
d = 2.430 Å, 2θ = 36.99°, I = 39, (2 2 2)
d = 2.182 Å, 2θ = 41.39°, I = 46, (6 2 -1)
d = 1.940 Å, 2θ = 46.83°, I = 48, (6 2 1)
d = 1.892 Å, 2θ = 48.08°, I = 32, (0 0 4)
d = 1.844 Å, 2θ = 49.43°, I = 37, (6 2 -3)
d = 1.759 Å, 2θ = 51.97°, I = 32, (4 4 -1)

Structure:
Lattice parameters (Å, degrees): 15.714 7.935 7.850 90.00 105.40 90.00
Space group C2/m (No. 12)
Unique sites:
1 Cs 0.201 0.000 0.202 [4 per cell]
2 Cu 0.050 0.500 0.248 [4 per cell]
3 Au 0.000 0.000 0.500 [2 per cell]
4 I 0.051 0.246 0.765 [8 per cell]
5 I 0.211 0.500 0.275 [4 per cell]


# 2
PuF4: simulated X-ray diffraction stick pattern (Cu Ka), based on the PBE geometry in Alexandria.

Largest 12 diffraction maxima, low angle first, 10° ≤ 2θ ≤ 80°:
d = 4.294 Å, 2θ = 20.69°, I = 100, (1 1 0)
d = 3.844 Å, 2θ = 23.14°, I = 37, (0 0 2)
d = 3.569 Å, 2θ = 24.95°, I = 30, (2 0 0)
d = 2.885 Å, 2θ = 31.00°, I = 31, (1 1 -2)
d = 2.843 Å, 2θ = 31.46°, I = 33, (1 1 2)
d = 2.202 Å, 2θ = 40.98°, I = 17, (0 2 2)
d = 2.176 Å, 2θ = 41.50°, I = 18, (3 1 0)
d = 2.147 Å, 2θ = 42.09°, I = 14, (2 2 0)
d = 1.912 Å, 2θ = 47.56°, I = 12, (3 1 -2)
d = 1.886 Å, 2θ = 48.25°, I = 14, (2 2 -2)
d = 1.876 Å, 2θ = 48.54°, I = 10, (3 1 2)
d = 1.863 Å, 2θ = 48.90°, I = 15, (2 2 2)

Structure:
Lattice parameters (Å, degrees): 7.140 5.374 7.691 90.00 91.40 90.00
Space group C2/c (No. 15)
Unique sites:
1 Pu 0.000 0.028 0.250 [4 per cell]
2 F 0.040 0.218 0.986 [8 per cell]
3 F 0.230 0.314 0.284 [8 per cell]


# 3
Sm5CdPt: simulated X-ray diffraction stick pattern (Cu Ka), based on the PBE geometry in Alexandria.

Largest 12 diffraction maxima, low angle first, 10° ≤ 2θ ≤ 80°:
d = 3.003 Å, 2θ = 29.75°, I = 57, (1 1 3)
d = 2.963 Å, 2θ = 30.16°, I = 57, (2 2 -1)
d = 2.932 Å, 2θ = 30.49°, I = 64, (2 2 0)
d = 2.878 Å, 2θ = 31.07°, I = 50, (3 1 -1)
d = 2.794 Å, 2θ = 32.03°, I = 28, (3 1 0)
d = 2.781 Å, 2θ = 32.19°, I = 100, (2 0 -4)
d = 2.733 Å, 2θ = 32.77°, I = 45, (0 2 3)
d = 2.479 Å, 2θ = 36.24°, I = 45, (1 3 0)
d = 2.318 Å, 2θ = 38.85°, I = 34, (0 2 4)
d = 2.310 Å, 2θ = 38.99°, I = 22, (3 1 2)
d = 1.953 Å, 2θ = 46.50°, I = 30, (1 3 -4)
d = 1.764 Å, 2θ = 51.84°, I = 31, (3 3 -4)

Structure:
Lattice parameters (Å, degrees): 9.304 7.735 11.985 90.00 104.85 90.00
Space group C2/c (No. 15)
Unique sites:
1 Sm 0.000 0.004 0.250 [4 per cell]
2 Sm 0.124 0.341 0.563 [8 per cell]
3 Sm 0.245 0.326 0.871 [8 per cell]
4 Cd 0.000 0.405 0.250 [4 per cell]
5 Pt 0.000 0.000 0.000 [4 per cell]


# 4
Dy4Ho3Hg4: simulated X-ray diffraction stick pattern (Cu Ka), based on the PBE geometry in Alexandria.

Largest 12 diffraction maxima, low angle first, 10° ≤ 2θ ≤ 80°:
d = 3.042 Å, 2θ = 29.36°, I = 22, (0 1 5)
d = 2.969 Å, 2θ = 30.10°, I = 16, (1 1 4)
d = 2.883 Å, 2θ = 31.02°, I = 100, (1 2 1)
d = 2.825 Å, 2θ = 31.67°, I = 18, (1 0 5)
d = 2.807 Å, 2θ = 31.88°, I = 23, (0 0 6)
d = 2.595 Å, 2θ = 34.57°, I = 65, (2 0 0)
d = 2.332 Å, 2θ = 38.62°, I = 26, (1 1 6)
d = 2.209 Å, 2θ = 40.85°, I = 33, (1 2 5)
d = 1.974 Å, 2θ = 45.97°, I = 13, (2 1 5)
d = 1.905 Å, 2θ = 47.73°, I = 15, (2 0 6)
d = 1.548 Å, 2θ = 59.74°, I = 16, (3 2 1)
d = 1.357 Å, 2θ = 69.26°, I = 23, (1 2 11)

Structure:
Lattice parameters (Å, degrees): 5.189 7.088 16.842 90.00 90.00 90.00
Space group Immm (No. 71)
Unique sites:
1 Dy 0.000 0.236 0.179 [8 per cell]
2 Ho 0.000 0.000 0.400 [4 per cell]
3 Ho 0.000 0.500 0.500 [2 per cell]
4 Hg 0.000 0.290 0.000 [4 per cell]
5 Hg 0.000 0.500 0.320 [4 per cell]